Computed PXRD pattern
Compound: SnB2HC
Radiation: CuKα
Structure: a cell relaxed with PBE
Peak positions follow from Bragg's law for the DFT cell and can differ from measured ones.

Top 8 peaks for 5 to 70 degrees two-theta, in order of rising 2θ:
5.562 Å, rel. 100; 3.098 Å, rel. 49; 2.781 Å, rel. 34; 2.706 Å, rel. 66; 2.190 Å, rel. 21; 2.069 Å, rel. 34; 2.038 Å, rel. 52; 1.721 Å, rel. 21

Cell and atoms:
```
data_SnB2HC
_cell_length_a 3.0978
_cell_length_b 3.0978
_cell_length_c 5.5617
_cell_angle_alpha 90.00
_cell_angle_beta 90.00
_cell_angle_gamma 90.00
_space_group_name_H-M_alt 'P 4/m m m'
_space_group_IT_number 123
_space_group_name_Hall '-P 4 2'
loop_
_atom_site_label
_atom_site_fract_x
_atom_site_fract_y
_atom_site_fract_z
Sn1 0.0000 0.0000 0.0000
B1 0.0000 0.5000 0.5000
H1 0.0000 0.0000 0.5000
C1 0.5000 0.5000 0.0000
```

Computed PXRD pattern
Compound: HoB2C2
Radiation: CuKα
Structure: a cell relaxed with PBE
Peak positions follow from Bragg's law for the DFT cell and can differ from measured ones.

Top 8 peaks for 5 to 70 degrees two-theta, in order of rising 2θ:
3.792 Å, rel. 94; 3.574 Å, rel. 27; 2.681 Å, rel. 40; 2.601 Å, rel. 100; 2.145 Å, rel. 56; 1.696 Å, rel. 29; 1.675 Å, rel. 22; 1.532 Å, rel. 28

Cell and atoms:
```
data_HoB2C2
_cell_length_a 3.7918
_cell_length_b 3.7918
_cell_length_c 7.1472
_cell_angle_alpha 90.00
_cell_angle_beta 90.00
_cell_angle_gamma 90.00
_space_group_name_H-M_alt 'P 42/m m c'
_space_group_IT_number 131
_space_group_name_Hall '-P 4c 2'
loop_
_atom_site_label
_atom_site_fract_x
_atom_site_fract_y
_atom_site_fract_z
Ho1 0.0000 0.0000 0.2500
B1 0.2152 0.5000 0.0000
C1 0.1878 0.5000 0.5000
```

Computed PXRD pattern
Compound: La9B3C6I5
Radiation: CuKα
Structure: a cell relaxed with PBE
Peak positions follow from Bragg's law for the DFT cell and can differ from measured ones.

Top 8 peaks for 5 to 70 degrees two-theta, in order of rising 2θ:
3.744 Å, rel. 60; 3.151 Å, rel. 68; 3.135 Å, rel. 98; 3.023 Å, rel. 100; 2.880 Å, rel. 69; 2.717 Å, rel. 91; 1.984 Å, rel. 44; 1.617 Å, rel. 63

Cell and atoms:
```
data_La9B3C6I5
_cell_length_a 3.9687
_cell_length_b 33.8528
_cell_length_c 8.3063
_cell_angle_alpha 90.00
_cell_angle_beta 90.00
_cell_angle_gamma 90.00
_space_group_name_H-M_alt 'P m m n'
_space_group_IT_number 59
loop_
_space_group_symop_operation_xyz
'x,y,z'
'-x,-y,-z'
'-x+1/2,-y+1/2,z'
'x+1/2,y+1/2,-z'
'x+1/2,-y,-z'
'-x+1/2,y,z'
'-x,y+1/2,-z'
'x,-y+1/2,z'
loop_
_atom_site_label
_atom_site_fract_x
_atom_site_fract_y
_atom_site_fract_z
La1 0.2500 0.0092 0.1837
La2 0.2500 0.0952 0.9211
La3 0.2500 0.1349 0.3330
La4 0.2500 0.6942 0.9503
La5 0.2500 0.7500 0.5724
B1 0.2500 0.2500 0.2158
B2 0.2500 0.5802 0.8720
C1 0.2500 0.2072 0.2587
C2 0.2500 0.5436 0.9713
C3 0.2500 0.6241 0.8701
I1 0.2500 0.0485 0.5709
I2 0.2500 0.2500 0.7859
I3 0.2500 0.6526 0.3334
```